This entry pairs a crystal structure of Y3Er3Bi2Os with its theoretical powder diffraction line list. Radiation: a wavelength of 1.5418 Å. Structure: a cell relaxed with PBE.

Crystal structure
a b c (Å): 8.2715 8.2715 4.2396
angles (deg): 90.00 90.00 120.00
Space group P-62m (No. 189)
One atom of each set of equivalent atoms:
Y 0.0000 0.3890 0.0000
Er 0.0000 0.7688 0.5000
Bi 0.3333 0.6667 0.5000
Os 0.0000 0.0000 0.0000

Top 10 peaks for 10° ≤ 2θ ≤ 80°, sorted by position:
Position (°2θ)  I/Imax
21.49  37
30.19  76
32.73  93
33.09  54
37.67  49
39.49  100
42.65  31
55.02  26
58.20  28
60.41  36